[1]
The following is a calculated PXRD pattern of ZnCdRh. It was derived from the PBE geometry in Alexandria, using CuKα.
Peak positions follow from Bragg's law for the DFT cell and can differ from measured ones.

Largest 10 diffraction maxima, by intensity, 2θ = 10–90°:
2θ = 38.48°, I = 100
2θ = 41.58°, I = 78
2θ = 57.94°, I = 29
2θ = 73.81°, I = 28
2θ = 67.46°, I = 13
2θ = 75.88°, I = 12
2θ = 82.45°, I = 7
2θ = 77.56°, I = 7
2θ = 23.65°, I = 7
2θ = 62.14°, I = 2

Structure:
Lattice parameters (Å, degrees): 4.3437 4.3437 2.9876 90.00 90.00 120.00
Space group P3m1 (No. 156)
Symmetry-distinct sites (fractional):
Zn 0.0000 0.0000 0.0000
Cd 0.3333 0.6667 0.3282
Rh 0.6667 0.3333 0.7781



[2]
The following is a calculated PXRD pattern of Cd3Ru4. It was derived from the PBE geometry in Alexandria, using CuKα.
Peak positions follow from Bragg's law for the DFT cell and can differ from measured ones.

Largest 10 diffraction maxima, by intensity, 2θ = 10–90°:
2θ = 38.45°, I = 100
2θ = 44.86°, I = 36
2θ = 78.42°, I = 24
2θ = 64.93°, I = 14
2θ = 65.32°, I = 11
2θ = 44.36°, I = 11
2θ = 64.27°, I = 7
2θ = 82.38°, I = 7
2θ = 31.29°, I = 6
2θ = 55.71°, I = 4

Structure:
Lattice parameters (Å, degrees): 2.8571 2.8571 28.5890 90.00 90.00 90.00
Space group I4/mmm (No. 139)
Symmetry-distinct sites (fractional):
Cd 0.0000 0.0000 0.0000
Cd 0.0000 0.0000 0.2944
Ru 0.0000 0.0000 0.1314
Ru 0.0000 0.0000 0.4243